The following is a theoretical powder XRD pattern of As2Au. It was derived from a GGA-PBE-relaxed structure, using Cu Kα (weighted mean of Kα1 and Kα2).

Main lines, by angle (15 to 90 degrees two-theta):
2θ 24.4, intensity 100, hkl 1 1 2
2θ 28.2, intensity 99, hkl 0 0 4
2θ 28.3, intensity 53, hkl 2 0 0
2θ 29.0, intensity 32, hkl 0 2 1
2θ 40.4, intensity 59, hkl 2 0 4
2θ 41.0, intensity 30, hkl 2 2 1
2θ 45.8, intensity 52, hkl 0 2 5
2θ 47.6, intensity 80, hkl 1 1 6
2θ 47.8, intensity 64, hkl 3 1 2
2θ 49.9, intensity 25, hkl 2 2 4

Atomic structure:
a = 6.304 Å, b = 6.345 Å, c = 12.667 Å
α = 90.00°, β = 90.00°, γ = 90.00°
Space group Pbca (No. 61)
Asymmetric unit:
1 As 0.112 0.086 0.179
2 As 0.120 0.683 0.928
3 Au 0.002 0.700 0.129